Entry 1:
This entry pairs a crystal structure of Sr2NbBiO6 with its theoretical powder X-ray diffraction pattern. Radiation: Cu Kα X-rays. Structure: a cell relaxed with PBE.
Peak positions follow from Bragg's law for the DFT cell and can differ from measured ones.

Principal peaks in the range 5 to 70 degrees two-theta, low angle first:
d [Å]  two_theta  I (rel.)
4.968  17.86  10
4.302  20.65  16
3.042  29.36  100
2.594  34.57  9
2.151  42.00  31
1.974  45.98  5
1.924  47.24  7
1.756  52.07  41
1.521  60.91  19
1.360  69.04  19

Structural model:
a = 8.604 Å, b = 8.604 Å, c = 8.604 Å
α = 90.00°, β = 90.00°, γ = 90.00°
Space group Fm-3m (No. 225)
Unique sites:
Sr  0.250  0.250  0.250 x8
Nb  0.000  0.000  0.000 x4
Bi  0.000  0.000  0.500 x4
O  0.000  0.000  0.233 x24

Entry 2:
This entry pairs a crystal structure of Sr2NbBiO6 with its theoretical powder X-ray diffraction pattern. Radiation: Cu Kα X-rays. Structure: a cell relaxed with PBE.
Peak positions follow from Bragg's law for the DFT cell and can differ from measured ones.

Principal peaks in the range 5 to 70 degrees two-theta, low angle first:
d [Å]  two_theta  I (rel.)
4.917  18.04  9
4.259  20.86  14
3.011  29.67  100
2.568  34.94  9
2.129  42.45  27
1.954  46.47  5
1.905  47.75  6
1.739  52.64  46
1.506  61.60  16
1.347  69.84  19

Structural model:
a = 8.517 Å, b = 8.517 Å, c = 8.517 Å
α = 90.00°, β = 90.00°, γ = 90.00°
Space group Pn-3 (No. 201, origin choice 2)
Unique sites:
Sr  0.250  0.250  0.250 x2
Sr  0.250  0.250  0.750 x6
Nb  0.000  0.000  0.000 x4
Bi  0.000  0.000  0.500 x4
O  0.037  0.547  0.731 x24

Entry 3:
This entry pairs a crystal structure of TiNbBiO6 with its theoretical powder X-ray diffraction pattern. Radiation: Cu Kα X-rays. Structure: a cell relaxed with PBE.
Peak positions follow from Bragg's law for the DFT cell and can differ from measured ones.

Principal peaks in the range 5 to 70 degrees two-theta, low angle first:
d [Å]  two_theta  I (rel.)
4.841  18.32  56
3.532  25.22  100
3.458  25.76  62
3.239  27.54  26
3.105  28.75  51
2.896  30.88  41
2.626  34.14  41
2.529  35.49  22
2.519  35.64  22
1.714  53.47  21

Structural model:
a = 5.373 Å, b = 6.996 Å, c = 7.659 Å
α = 67.81°, β = 69.69°, γ = 81.72°
Space group P1 (No. 1)
Unique sites:
Ti  0.000  0.000  0.000 x1
Ti  0.485  0.990  0.517 x1
Nb  0.405  0.225  0.075 x1
Nb  0.909  0.237  0.560 x1
Bi  0.475  0.639  0.280 x1
Bi  0.939  0.623  0.785 x1
O  0.044  0.502  0.470 x1
O  0.124  0.298  0.967 x1
O  0.184  0.060  0.719 x1
O  0.213  0.154  0.363 x1
O  0.269  0.923  0.108 x1
O  0.355  0.732  0.594 x1
O  0.493  0.486  0.056 x1
O  0.635  0.299  0.444 x1
O  0.672  0.009  0.227 x1
O  0.724  0.214  0.845 x1
O  0.756  0.929  0.629 x1
O  0.894  0.746  0.022 x1

Entry 4:
This entry pairs a crystal structure of TiNbBi3O9 with its theoretical powder X-ray diffraction pattern. Radiation: Cu Kα X-rays. Structure: a cell relaxed with PBE.
Peak positions follow from Bragg's law for the DFT cell and can differ from measured ones.

Principal peaks in the range 5 to 70 degrees two-theta, low angle first:
d [Å]  two_theta  I (rel.)
6.330  13.99  15
3.822  23.27  10
3.073  29.06  100
2.734  32.76  37
2.532  35.45  13
1.933  47.01  22
1.858  49.04  23
1.636  56.22  33
1.547  59.78  10
1.536  60.23  11

Structural model:
a = 3.866 Å, b = 3.866 Å, c = 25.319 Å
α = 90.00°, β = 90.00°, γ = 90.00°
Space group I4mm (No. 107)
Unique sites:
Ti  0.000  0.000  0.000 x2
Nb  0.000  0.000  0.180 x2
Bi  0.000  0.000  0.391 x2
Bi  0.000  0.000  0.577 x2
Bi  0.000  0.000  0.791 x2
O  0.000  0.000  0.091 x2
O  0.000  0.000  0.255 x2
O  0.000  0.000  0.930 x2
O  0.000  0.500  0.015 x4
O  0.000  0.500  0.170 x4
O  0.000  0.500  0.342 x4

Entry 5:
This entry pairs a crystal structure of TiNbBi3O9 with its theoretical powder X-ray diffraction pattern. Radiation: Cu Kα X-rays. Structure: a cell relaxed with PBE.
Peak positions follow from Bragg's law for the DFT cell and can differ from measured ones.

Principal peaks in the range 5 to 70 degrees two-theta, low angle first:
d [Å]  two_theta  I (rel.)
6.374  13.89  16
3.825  23.25  13
3.082  28.97  100
2.754  32.51  18
2.719  32.94  17
2.550  35.20  14
1.935  46.97  18
1.871  48.67  13
1.646  55.85  16
1.634  56.32  8

Structural model:
a = 5.438 Å, b = 5.507 Å, c = 13.022 Å
α = 90.00°, β = 101.77°, γ = 90.00°
Space group P2_1 (No. 4)
Unique sites:
Ti  0.163  0.000  0.323 x2
Nb  0.334  0.003  0.676 x2
Bi  0.071  0.456  0.100 x2
Bi  0.245  0.450  0.501 x2
Bi  0.477  0.461  0.899 x2
O  0.030  0.821  0.672 x2
O  0.138  0.327  0.673 x2
O  0.156  0.015  0.185 x2
O  0.173  0.046  0.502 x2
O  0.242  0.726  0.998 x2
O  0.256  0.226  0.998 x2
O  0.398  0.742  0.368 x2
O  0.469  0.239  0.368 x2
O  0.470  0.013  0.820 x2

Entry 6:
This entry pairs a crystal structure of TiNbBi3O9 with its theoretical powder X-ray diffraction pattern. Radiation: Cu Kα X-rays. Structure: a cell relaxed with PBE.
Peak positions follow from Bragg's law for the DFT cell and can differ from measured ones.

Principal peaks in the range 5 to 70 degrees two-theta, low angle first:
d [Å]  two_theta  I (rel.)
15.018  5.88  51
7.509  11.79  60
3.419  26.06  100
3.004  29.74  27
2.775  32.26  96
2.573  34.87  53
1.953  46.49  51
1.819  50.15  30
1.606  57.37  25
1.521  60.89  32

Structural model:
a = 3.638 Å, b = 3.638 Å, c = 30.037 Å
α = 90.00°, β = 90.00°, γ = 90.00°
Space group I4mm (No. 107)
Unique sites:
Ti  0.000  0.000  0.000 x2
Nb  0.000  0.000  0.163 x2
Bi  0.000  0.000  0.262 x2
Bi  0.000  0.000  0.575 x2
Bi  0.000  0.000  0.855 x2
O  0.000  0.000  0.064 x2
O  0.000  0.000  0.370 x2
O  0.000  0.000  0.702 x2
O  0.000  0.500  0.132 x4
O  0.000  0.500  0.300 x4
O  0.000  0.500  0.491 x4